Pu5Bi2As2: simulated X-ray powder pattern (CuKα), based on the PBE geometry in Alexandria.
Peak positions follow from Bragg's law for the DFT cell and can differ from measured ones.

Crystal structure
a = 8.815 Å, b = 8.815 Å, c = 8.014 Å
α = 90.00°, β = 90.00°, γ = 54.12°
Positions (direct):
1 Pu 0.000 0.000 0.000
2 Pu 0.031 0.726 0.652
3 Pu 0.226 0.531 0.152
4 Pu 0.274 0.969 0.652
5 Pu 0.469 0.774 0.152
6 Pu 0.500 0.500 0.500
7 Pu 0.531 0.226 0.848
8 Pu 0.726 0.031 0.348
9 Pu 0.774 0.469 0.848
10 Pu 0.969 0.274 0.348
11 Bi 0.205 0.205 0.000
12 Bi 0.295 0.295 0.500
13 Bi 0.705 0.705 0.500
14 Bi 0.795 0.795 0.000
15 As 0.150 0.850 0.350
16 As 0.350 0.650 0.850
17 As 0.650 0.350 0.150
18 As 0.850 0.150 0.650

Main lines, in order of rising 2θ (2θ = 10–80°):
d (Å)  2theta  Rel. int.
3.586  24.83  34
2.957  30.22  42
2.834  31.57  31
2.804  31.91  46
2.747  32.60  67
2.647  33.86  62
2.503  35.88  100
2.362  38.10  30
1.785  51.18  29
1.619  56.87  29

---

Rb4BiAs2: simulated X-ray powder pattern (CuKα), based on the PBE geometry in Alexandria.
Peak positions follow from Bragg's law for the DFT cell and can differ from measured ones.

Crystal structure
a = 9.157 Å, b = 9.157 Å, c = 9.157 Å
α = 94.18°, β = 94.18°, γ = 148.68°
Positions (direct):
1 Rb 0.051 0.765 0.815
2 Rb 0.235 0.051 0.286
3 Rb 0.765 0.949 0.714
4 Rb 0.949 0.235 0.185
5 Bi 0.500 0.500 0.000
6 As 0.250 0.750 0.500
7 As 0.750 0.250 0.500

Main lines, in order of rising 2θ (2θ = 10–80°):
d (Å)  2theta  Rel. int.
6.235  14.21  68
3.699  24.06  100
3.117  28.63  40
2.834  31.57  50
2.788  32.10  36
2.380  37.80  18
2.095  43.19  27
1.893  48.06  22
1.739  52.63  30
1.617  56.93  21

---

Bi2AsS4: simulated X-ray powder pattern (CuKα), based on the PBE geometry in Alexandria.
Peak positions follow from Bragg's law for the DFT cell and can differ from measured ones.

Crystal structure
a = 6.363 Å, b = 6.363 Å, c = 6.363 Å
α = 111.86°, β = 111.86°, γ = 104.79°
Positions (direct):
1 Bi 0.250 0.750 0.500
2 Bi 0.750 0.250 0.500
3 As 0.000 0.000 0.000
4 S 0.132 0.132 0.467
5 S 0.335 0.868 0.000
6 S 0.665 0.665 0.533
7 S 0.868 0.335 0.000

Main lines, in order of rising 2θ (2θ = 10–80°):
d (Å)  2theta  Rel. int.
5.041  17.59  69
3.565  24.98  35
3.076  29.03  100
2.626  34.15  36
2.521  35.62  43
2.254  39.99  19
1.950  46.58  55
1.705  53.76  25
1.315  71.75  16
1.232  77.47  17

---

BiAs2S2: simulated X-ray powder pattern (CuKα), based on the PBE geometry in Alexandria.
Peak positions follow from Bragg's law for the DFT cell and can differ from measured ones.

Crystal structure
a = 8.838 Å, b = 8.838 Å, c = 3.328 Å
α = 90.00°, β = 90.00°, γ = 90.00°
Positions (direct):
1 Bi 0.000 0.000 0.000
2 Bi 0.500 0.500 0.000
3 As 0.242 0.258 0.000
4 As 0.258 0.758 0.000
5 As 0.742 0.242 0.000
6 As 0.758 0.742 0.000
7 S 0.132 0.632 0.500
8 S 0.368 0.132 0.500
9 S 0.632 0.868 0.500
10 S 0.868 0.368 0.500

Main lines, in order of rising 2θ (2θ = 10–80°):
d (Å)  2theta  Rel. int.
6.250  14.17  100
3.328  26.78  34
3.125  28.57  88
2.938  30.43  65
2.795  32.02  60
2.278  39.56  74
2.210  40.84  23
2.140  42.22  30
1.841  49.52  53
1.288  73.50  24